Structure and calculated powder diffractogram of AgSbO12 (DFT lattice parameters and positions (PBE); Cu Kα (λ = 1.5418 Å)).
Peak positions follow from Bragg's law for the DFT cell and can differ from measured ones.

Structural model:
```
data_AgSbO12
_cell_length_a 7.6662
_cell_length_b 7.6662
_cell_length_c 7.4358
_cell_angle_alpha 90.00
_cell_angle_beta 90.00
_cell_angle_gamma 90.00
_space_group_name_H-M_alt 'P 42/n'
_space_group_IT_number 86
loop_
_space_group_symop_operation_xyz
'x,y,z'
'-x,-y,-z'
'-y,x+1/2,z+1/2'
'y,-x+1/2,-z+1/2'
'-x+1/2,-y+1/2,z'
'x+1/2,y+1/2,-z'
'y+1/2,-x,z+1/2'
'-y+1/2,x,-z+1/2'
loop_
_atom_site_label
_atom_site_fract_x
_atom_site_fract_y
_atom_site_fract_z
_atom_site_occupancy
Ag1 0.2500 0.2500 0.2500 1
Sb1 0.2500 0.2500 0.7500 1
O1 0.0332 0.7264 0.6991 1
O2 0.0725 0.1695 0.9125 1
O3 0.1028 0.8773 0.2593 1
```

Top 10 peaks for 2θ from 10° to 90°, in order of falling intensity:
2theta	Rel. int.	hkl
16.35	100.0	1 1 0
44.62	54.3	1 3 2
23.93	47.8	0 0 2
23.20	46.2	2 0 0
33.58	37.2	2 0 2
37.08	36.4	3 1 0
29.13	34.8	1 1 2
63.01	17.5	1 3 4
41.22	16.2	2 2 2
59.37	15.3	2 4 2

=====

Structure and calculated powder diffractogram of Rh3Br (DFT lattice parameters and positions (PBE); Cu Kα (λ = 1.5418 Å)).
Peak positions follow from Bragg's law for the DFT cell and can differ from measured ones.

Structural model:
```
data_Rh3Br
_cell_length_a 4.1074
_cell_length_b 4.1074
_cell_length_c 7.5025
_cell_angle_alpha 90.00
_cell_angle_beta 90.00
_cell_angle_gamma 90.00
_space_group_name_H-M_alt 'I 4/m m m'
_space_group_IT_number 139
_space_group_name_Hall '-I 4 2'
loop_
_atom_site_label
_atom_site_fract_x
_atom_site_fract_y
_atom_site_fract_z
_atom_site_occupancy
Rh1 0.0000 0.0000 0.0000 1
Rh2 0.0000 0.5000 0.2500 1
Br1 0.0000 0.0000 0.5000 1
```

Top 8 peaks for 2θ from 10° to 90°, in order of falling intensity:
2theta	Rel. int.	hkl
39.23	100.0	1 1 2
44.10	35.7	2 0 0
77.82	26.0	3 1 2
84.34	21.3	2 2 4
67.65	19.4	2 0 4
48.54	13.4	0 0 4
64.13	11.4	2 2 0
24.71	1.2	1 0 1